This entry pairs a crystal structure of V2Rh2O7 with its theoretical powder XRD pattern. Radiation: Cu Kα X-rays. Structure: a crystal structure in Alexandria, relaxed with PBE+U.
No peak broadening, texture or thermal motion is included.

Cell and atoms:
```
data_V2Rh2O7
_chemical_formula_sum 'V8 Rh8 O28'
_cell_length_a 8.1232
_cell_length_b 8.1206
_cell_length_c 10.3214
_cell_angle_alpha 90.00
_cell_angle_beta 111.76
_cell_angle_gamma 90.00
_space_group_name_H-M_alt 'C 1 2/c 1'
_space_group_IT_number 15
loop_
_space_group_symop_operation_xyz
'x,y,z'
'-x,-y,-z'
'-x,y,-z+1/2'
'x,-y,z+1/2'
'x+1/2,y+1/2,z'
'-x+1/2,-y+1/2,-z'
'-x+1/2,y+1/2,-z+1/2'
'x+1/2,-y+1/2,z+1/2'
loop_
_atom_site_label
_atom_site_fract_x
_atom_site_fract_y
_atom_site_fract_z
V1 0.2101 0.1997 0.2866
Rh1 0.1952 0.4365 0.9904
O1 0.0000 0.0916 0.2500
O2 0.1047 0.4157 0.6094
O3 0.1989 0.3807 0.3643
O4 0.2281 0.2386 0.1207
```

Most intense lines, 10 to 90 degrees two-theta, in order of rising 2θ:
d = 5.527 Å, rel. 34, (1 1 0)
d = 4.308 Å, rel. 27, (1 1 1)
d = 3.772 Å, rel. 100, (2 0 0)
d = 3.164 Å, rel. 46, (1 1 -3)
d = 3.098 Å, rel. 66, (0 2 2)
d = 2.737 Å, rel. 29, (2 2 -2)
d = 2.541 Å, rel. 36, (1 3 -1)
d = 2.400 Å, rel. 38, (3 1 0)